GaSiMo4S8: calculated powder diffractogram (Cu Kα, 1.54184 Å), based on DFT lattice parameters and positions (GGA-PBE).
Peak positions follow from Bragg's law for the DFT cell and can differ from measured ones.

Most intense lines, 2θ = 10–90°, by angle:
| h k l | two_theta | I/Imax |
| --- | --- | --- |
| 1 1 1 | 14.47 | 100.0 |
| 2 0 0 | 16.73 | 40.4 |
| 2 2 0 | 23.74 | 31.5 |
| 3 1 1 | 27.92 | 36.7 |
| 4 0 0 | 33.82 | 45.6 |
| 3 3 1 | 36.96 | 40.3 |
| 4 2 2 | 41.74 | 39.6 |
| 5 1 1 | 44.41 | 72.3 |
| 4 4 0 | 48.59 | 49.1 |
| 6 6 0 | 76.21 | 23.4 |

Structure:
```
data_GaSiMo4S8
_symmetry_space_group_name_H-M 'F -4 3 m'
_symmetry_Int_Tables_number 216
_symmetry_space_group_name_Hall 'F -4 2 3'
_cell_length_a 10.6004
_cell_length_b 10.6004
_cell_length_c 10.6004
_cell_angle_alpha 90.00
_cell_angle_beta 90.00
_cell_angle_gamma 90.00
loop_
_atom_site_label
_atom_site_type_symbol
_atom_site_fract_x
_atom_site_fract_y
_atom_site_fract_z
Ga1 Ga 0.0000 0.0000 0.0000
Si1 Si 0.2500 0.2500 0.7500
Mo1 Mo 0.0941 0.0941 0.5941
S1 S 0.1244 0.1244 0.3756
S2 S 0.1364 0.1364 0.8636
```

Mg2Ru: calculated powder diffractogram (Cu Kα, 1.54184 Å), based on DFT lattice parameters and positions (GGA-PBE).
Peak positions follow from Bragg's law for the DFT cell and can differ from measured ones.

Most intense lines, 2θ = 10–90°, by angle:
| h k l | two_theta | I/Imax |
| --- | --- | --- |
| 1 1 0 | 16.87 | 100.0 |
| 2 0 0 | 26.25 | 30.5 |
| 2 2 0 | 34.11 | 11.9 |
| 2 2 1 | 39.83 | 49.9 |
| 0 0 2 | 40.53 | 46.1 |
| 3 1 0 | 41.44 | 13.7 |
| 1 1 2 | 44.19 | 16.4 |
| 0 4 1 | 48.21 | 12.5 |
| 3 1 2 | 59.36 | 9.2 |
| 2 6 0 | 73.74 | 12.5 |

Structure:
```
data_Mg2Ru
_symmetry_space_group_name_H-M 'C m c m'
_symmetry_Int_Tables_number 63
_symmetry_space_group_name_Hall '-C 2c 2'
_cell_length_a 6.7728
_cell_length_b 8.3367
_cell_length_c 4.4510
_cell_angle_alpha 90.00
_cell_angle_beta 90.00
_cell_angle_gamma 90.00
loop_
_atom_site_label
_atom_site_type_symbol
_atom_site_fract_x
_atom_site_fract_y
_atom_site_fract_z
Mg1 Mg 0.2299 0.1460 0.2500
Ru1 Ru 0.0000 0.4245 0.2500
```

CsRb2ErCl6: calculated powder diffractogram (Cu Kα, 1.54184 Å), based on DFT lattice parameters and positions (GGA-PBE).
Peak positions follow from Bragg's law for the DFT cell and can differ from measured ones.

Most intense lines, 2θ = 10–90°, by angle:
| h k l | two_theta | I/Imax |
| --- | --- | --- |
| 2 0 0 | 15.07 | 28.8 |
| 2 2 0 | 21.37 | 100.0 |
| 4 0 0 | 30.41 | 57.9 |
| 4 2 2 | 37.47 | 44.4 |
| 4 4 0 | 43.54 | 39.1 |
| 6 2 0 | 49.00 | 25.9 |
| 4 4 4 | 54.03 | 12.8 |
| 6 4 2 | 58.77 | 28.2 |
| 8 4 0 | 71.81 | 15.1 |
| 10 2 0 | 83.92 | 15.5 |

Structure:
```
data_CsRb2ErCl6
_symmetry_space_group_name_H-M 'F m -3 m'
_symmetry_Int_Tables_number 225
_symmetry_space_group_name_Hall '-F 4 2 3'
_cell_length_a 11.7581
_cell_length_b 11.7581
_cell_length_c 11.7581
_cell_angle_alpha 90.00
_cell_angle_beta 90.00
_cell_angle_gamma 90.00
loop_
_atom_site_label
_atom_site_type_symbol
_atom_site_fract_x
_atom_site_fract_y
_atom_site_fract_z
Cs1 Cs 0.0000 0.0000 0.0000
Rb1 Rb 0.2500 0.2500 0.2500
Er1 Er 0.0000 0.0000 0.5000
Cl1 Cl 0.0000 0.0000 0.2777
```

Na2LiLa3Ti6O18: calculated powder diffractogram (Cu Kα, 1.54184 Å), based on DFT lattice parameters and positions (GGA-PBE).
Peak positions follow from Bragg's law for the DFT cell and can differ from measured ones.

Most intense lines, 2θ = 10–90°, by angle:
| h k l | two_theta | I/Imax |
| --- | --- | --- |
| 1 0 1 | 16.57 | 100.0 |
| 0 1 -2 | 24.60 | 22.0 |
| 1 1 -2 | 31.99 | 39.5 |
| 1 -1 3 | 32.18 | 37.6 |
| -1 1 3 | 32.32 | 74.8 |
| 2 0 1 | 32.63 | 69.6 |
| 0 0 6 | 45.55 | 30.4 |
| 2 2 2 | 46.73 | 29.0 |
| 2 -2 0 | 46.89 | 28.9 |
| 1 3 5 | 58.11 | 22.6 |

Structure:
```
data_Na2LiLa3Ti6O18
_symmetry_space_group_name_H-M 'P 1'
_symmetry_Int_Tables_number 1
_cell_length_a 5.4878
_cell_length_b 5.4911
_cell_length_c 12.5263
_cell_angle_alpha 77.86
_cell_angle_beta 77.62
_cell_angle_gamma 89.80
loop_
_symmetry_equiv_pos_as_xyz
'x,y,z'
loop_
_atom_site_label
_atom_site_type_symbol
_atom_site_fract_x
_atom_site_fract_y
_atom_site_fract_z
Na1 Na 0.0000 0.0000 0.0000
Na2 Na 0.1605 0.1709 0.6753
Li1 Li 0.8569 0.8907 0.2807
La1 La 0.3186 0.3347 0.3544
La2 La 0.4868 0.4964 0.0163
La3 La 0.6602 0.6691 0.6788
Ti1 Ti 0.0710 0.5804 0.8487
Ti2 Ti 0.2360 0.7524 0.5162
Ti3 Ti 0.3991 0.9115 0.1863
Ti4 Ti 0.5686 0.0891 0.8504
Ti5 Ti 0.7390 0.2435 0.5135
Ti6 Ti 0.9000 0.4234 0.1843
O1 O 0.1353 0.5884 0.6993
O2 O 0.1356 0.1666 0.1782
O3 O 0.1367 0.6403 0.2227
O4 O 0.3013 0.8913 0.3658
O5 O 0.3049 0.3196 0.8891
O6 O 0.3049 0.8286 0.8474
O7 O 0.4545 0.4707 0.5093
O8 O 0.4684 0.9576 0.5551
O9 O 0.4719 0.9251 0.0348
O10 O 0.6172 0.1999 0.1803
O11 O 0.6306 0.6621 0.2254
O12 O 0.6338 0.2160 0.6997
O13 O 0.7812 0.7967 0.8448
O14 O 0.7924 0.2988 0.8895
O15 O 0.8038 0.2471 0.3638
O16 O 0.9629 0.5037 0.5134
O17 O 0.9627 0.5563 0.0340
O18 O 0.9661 0.9813 0.5557
```

HfO3F4: calculated powder diffractogram (Cu Kα, 1.54184 Å), based on DFT lattice parameters and positions (GGA-PBE).
Peak positions follow from Bragg's law for the DFT cell and can differ from measured ones.

Most intense lines, 2θ = 10–90°, by angle:
| h k l | two_theta | I/Imax |
| --- | --- | --- |
| 0 1 1 | 15.65 | 100.0 |
| 0 2 0 | 17.68 | 27.0 |
| 1 2 -1 | 24.18 | 8.4 |
| 0 0 2 | 25.97 | 9.9 |
| 2 0 0 | 26.98 | 16.7 |
| 2 1 -1 | 28.58 | 20.2 |
| 0 3 1 | 29.72 | 11.9 |
| 1 3 0 | 29.95 | 7.7 |
| 2 2 0 | 32.44 | 8.0 |
| 2 3 -1 | 38.41 | 8.9 |

Structure:
```
data_HfO3F4
_symmetry_space_group_name_H-M 'P 1 21/c 1'
_symmetry_Int_Tables_number 14
_cell_length_a 6.7903
_cell_length_b 10.0310
_cell_length_c 7.0482
_cell_angle_alpha 90.00
_cell_angle_beta 103.24
_cell_angle_gamma 90.00
loop_
_symmetry_equiv_pos_as_xyz
'x,y,z'
'-x,-y,-z'
'-x,y+1/2,-z+1/2'
'x,-y+1/2,z+1/2'
loop_
_atom_site_label
_atom_site_type_symbol
_atom_site_fract_x
_atom_site_fract_y
_atom_site_fract_z
Hf1 Hf 0.2363 0.0345 0.4480
O1 O 0.2491 0.6652 0.4311
O2 O 0.2689 0.6543 0.7651
O3 O 0.3042 0.2445 0.9931
F1 F 0.0531 0.6136 0.0228
F2 F 0.1118 0.0851 0.1797
F3 F 0.3084 0.1047 0.7220
F4 F 0.4820 0.5942 0.1017
```

SbTe2: calculated powder diffractogram (Cu Kα, 1.54184 Å), based on DFT lattice parameters and positions (GGA-PBE).
Peak positions follow from Bragg's law for the DFT cell and can differ from measured ones.

Most intense lines, 2θ = 10–90°, by angle:
| h k l | two_theta | I/Imax |
| --- | --- | --- |
| 1 0 1 | 28.04 | 100.0 |
| 0 1 2 | 39.65 | 38.6 |
| 1 1 0 | 40.50 | 37.1 |
| 0 0 3 | 48.53 | 6.6 |
| 0 2 1 | 49.99 | 20.0 |
| 2 0 2 | 57.97 | 12.5 |
| 1 1 3 | 65.00 | 16.3 |
| 2 1 1 | 66.21 | 16.9 |
| 1 2 2 | 73.10 | 12.5 |
| 3 0 0 | 73.67 | 6.2 |

Structure:
```
data_SbTe2
_symmetry_space_group_name_H-M 'P -3 m 1'
_symmetry_Int_Tables_number 164
_symmetry_space_group_name_Hall '-P 3 2"'
_cell_length_a 4.4545
_cell_length_b 4.4545
_cell_length_c 5.6274
_cell_angle_alpha 90.00
_cell_angle_beta 90.00
_cell_angle_gamma 120.00
loop_
_atom_site_label
_atom_site_type_symbol
_atom_site_fract_x
_atom_site_fract_y
_atom_site_fract_z
Sb1 Sb 0.0000 0.0000 0.0000
Te1 Te 0.3333 0.6667 0.6867
```

BeSiRu2: calculated powder diffractogram (Cu Kα, 1.54184 Å), based on DFT lattice parameters and positions (GGA-PBE).
Peak positions follow from Bragg's law for the DFT cell and can differ from measured ones.

Most intense lines, 2θ = 10–90°, by angle:
| h k l | two_theta | I/Imax |
| --- | --- | --- |
| 1 1 1 | 26.93 | 2.4 |
| 2 0 0 | 31.20 | 69.7 |
| 2 2 0 | 44.70 | 100.0 |
| 3 1 1 | 52.96 | 1.0 |
| 2 2 2 | 55.51 | 17.9 |
| 4 0 0 | 65.06 | 15.9 |
| 4 2 0 | 73.92 | 22.1 |
| 4 2 2 | 82.39 | 32.8 |

Structure:
```
data_BeSiRu2
_symmetry_space_group_name_H-M 'F m -3 m'
_symmetry_Int_Tables_number 225
_symmetry_space_group_name_Hall '-F 4 2 3'
_cell_length_a 5.7343
_cell_length_b 5.7343
_cell_length_c 5.7343
_cell_angle_alpha 90.00
_cell_angle_beta 90.00
_cell_angle_gamma 90.00
loop_
_atom_site_label
_atom_site_type_symbol
_atom_site_fract_x
_atom_site_fract_y
_atom_site_fract_z
Be1 Be 0.0000 0.0000 0.0000
Si1 Si 0.0000 0.0000 0.5000
Ru1 Ru 0.2500 0.2500 0.2500
```

CsCuN: calculated powder diffractogram (Cu Kα, 1.54184 Å), based on DFT lattice parameters and positions (GGA-PBE).
Peak positions follow from Bragg's law for the DFT cell and can differ from measured ones.

Most intense lines, 2θ = 10–90°, by angle:
| h k l | two_theta | I/Imax |
| --- | --- | --- |
| 1 0 0 | 18.52 | 90.0 |
| 1 0 1 | 31.51 | 100.0 |
| 1 1 0 | 32.36 | 78.2 |
| 2 0 0 | 37.54 | 14.7 |
| 2 0 1 | 45.79 | 35.2 |
| 2 1 0 | 50.38 | 12.4 |
| 2 1 1 | 57.18 | 36.3 |
| 3 0 0 | 57.72 | 13.9 |
| 1 1 2 | 62.49 | 21.7 |
| 3 1 1 | 76.62 | 15.4 |

Structure:
```
data_CsCuN
_symmetry_space_group_name_H-M 'P -6 m 2'
_symmetry_Int_Tables_number 187
_symmetry_space_group_name_Hall 'P -6 2'
_cell_length_a 5.5333
_cell_length_b 5.5333
_cell_length_c 3.5244
_cell_angle_alpha 90.00
_cell_angle_beta 90.00
_cell_angle_gamma 120.00
loop_
_atom_site_label
_atom_site_type_symbol
_atom_site_fract_x
_atom_site_fract_y
_atom_site_fract_z
Cs1 Cs 0.0000 0.0000 0.0000
Cu1 Cu 0.6667 0.3333 0.5000
N1 N 0.6667 0.3333 0.0000
```

LaPm3: calculated powder diffractogram (Cu Kα, 1.54184 Å), based on DFT lattice parameters and positions (GGA-PBE).
Peak positions follow from Bragg's law for the DFT cell and can differ from measured ones.

Most intense lines, 2θ = 10–90°, by angle:
| h k l | two_theta | I/Imax |
| --- | --- | --- |
| 1 1 2 | 29.67 | 100.0 |
| 2 0 0 | 34.39 | 50.7 |
| 2 2 0 | 49.42 | 36.4 |
| 3 1 2 | 58.71 | 43.5 |
| 2 2 4 | 61.59 | 12.5 |
| 4 0 0 | 72.48 | 5.8 |
| 3 3 2 | 80.22 | 17.6 |
| 4 2 0 | 82.75 | 16.4 |

Structure:
```
data_LaPm3
_symmetry_space_group_name_H-M 'I 4/m m m'
_symmetry_Int_Tables_number 139
_symmetry_space_group_name_Hall '-I 4 2'
_cell_length_a 5.2149
_cell_length_b 5.2149
_cell_length_c 10.4360
_cell_angle_alpha 90.00
_cell_angle_beta 90.00
_cell_angle_gamma 90.00
loop_
_atom_site_label
_atom_site_type_symbol
_atom_site_fract_x
_atom_site_fract_y
_atom_site_fract_z
La1 La 0.0000 0.0000 0.0000
Pm1 Pm 0.0000 0.0000 0.5000
Pm2 Pm 0.0000 0.5000 0.2500
```

PBr7: calculated powder diffractogram (Cu Kα, 1.54184 Å), based on DFT lattice parameters and positions (GGA-PBE).
Peak positions follow from Bragg's law for the DFT cell and can differ from measured ones.

Most intense lines, 2θ = 10–90°, by angle:
| h k l | two_theta | I/Imax |
| --- | --- | --- |
| 0 2 0 | 21.30 | 52.1 |
| 1 1 3 | 22.67 | 42.9 |
| 1 2 2 | 26.17 | 100.0 |
| 1 1 4 | 27.58 | 59.7 |
| 2 2 0 | 28.62 | 33.0 |
| 3 0 2 | 30.90 | 30.2 |
| 3 1 1 | 31.06 | 28.1 |
| 2 1 4 | 32.22 | 30.8 |
| 0 4 0 | 43.39 | 26.8 |
| 4 2 0 | 44.25 | 31.3 |

Structure:
```
data_PBr7
_symmetry_space_group_name_H-M 'P n m a'
_symmetry_Int_Tables_number 62
_cell_length_a 9.3978
_cell_length_b 8.3426
_cell_length_c 15.1312
_cell_angle_alpha 90.00
_cell_angle_beta 90.00
_cell_angle_gamma 90.00
loop_
_symmetry_equiv_pos_as_xyz
'x,y,z'
'-x,-y,-z'
'-x+1/2,-y,z+1/2'
'x+1/2,y,-z+1/2'
'x+1/2,-y+1/2,-z+1/2'
'-x+1/2,y+1/2,z+1/2'
'-x,y+1/2,-z'
'x,-y+1/2,z'
loop_
_atom_site_label
_atom_site_type_symbol
_atom_site_fract_x
_atom_site_fract_y
_atom_site_fract_z
P1 P 0.1190 0.2500 0.1461
Br1 Br 0.0793 0.2500 0.2890
Br2 Br 0.0868 0.7500 0.9221
Br3 Br 0.0945 0.2500 0.5265
Br4 Br 0.1073 0.2500 0.7987
Br5 Br 0.1666 0.7500 0.3758
Br6 Br 0.2375 0.0342 0.1068
```

TlAgS: calculated powder diffractogram (Cu Kα, 1.54184 Å), based on DFT lattice parameters and positions (GGA-PBE).
Peak positions follow from Bragg's law for the DFT cell and can differ from measured ones.

Most intense lines, 2θ = 10–90°, by angle:
| h k l | two_theta | I/Imax |
| --- | --- | --- |
| 0 1 1 | 23.32 | 20.8 |
| 2 1 1 | 31.24 | 100.0 |
| 2 0 2 | 31.99 | 29.5 |
| 3 0 1 | 33.30 | 83.8 |
| 1 0 3 | 38.28 | 16.8 |
| 0 2 0 | 40.39 | 26.5 |
| 0 1 3 | 42.17 | 19.1 |
| 4 1 1 | 48.31 | 18.9 |
| 3 0 3 | 48.84 | 17.4 |
| 3 1 4 | 63.65 | 21.8 |

Structure:
```
data_TlAgS
_symmetry_space_group_name_H-M 'P n m a'
_symmetry_Int_Tables_number 62
_cell_length_a 8.6671
_cell_length_b 4.4663
_cell_length_c 7.3279
_cell_angle_alpha 90.00
_cell_angle_beta 90.00
_cell_angle_gamma 90.00
loop_
_symmetry_equiv_pos_as_xyz
'x,y,z'
'-x,-y,-z'
'-x+1/2,-y,z+1/2'
'x+1/2,y,-z+1/2'
'x+1/2,-y+1/2,-z+1/2'
'-x+1/2,y+1/2,z+1/2'
'-x,y+1/2,-z'
'x,-y+1/2,z'
loop_
_atom_site_label
_atom_site_type_symbol
_atom_site_fract_x
_atom_site_fract_y
_atom_site_fract_z
Tl1 Tl 0.0058 0.2500 0.1878
Ag1 Ag 0.1861 0.2500 0.5833
S1 S 0.1828 0.7500 0.3999
```

AlCr6Si: calculated powder diffractogram (Cu Kα, 1.54184 Å), based on DFT lattice parameters and positions (GGA-PBE).
Peak positions follow from Bragg's law for the DFT cell and can differ from measured ones.

Most intense lines, 2θ = 10–90°, by angle:
| h k l | two_theta | I/Imax |
| --- | --- | --- |
| 1 1 0 | 27.67 | 11.5 |
| 2 0 0 | 39.54 | 20.8 |
| 2 0 1 | 44.44 | 100.0 |
| 2 1 1 | 48.94 | 42.6 |
| 2 2 0 | 57.15 | 1.1 |
| 3 1 0 | 64.65 | 1.5 |
| 2 2 2 | 71.72 | 10.0 |
| 3 0 2 | 75.14 | 17.6 |
| 3 2 1 | 78.50 | 19.1 |
| 4 0 0 | 85.13 | 9.9 |

Structure:
```
data_AlCr6Si
_symmetry_space_group_name_H-M 'P m -3'
_symmetry_Int_Tables_number 200
_symmetry_space_group_name_Hall '-P 2 2 3'
_cell_length_a 4.5589
_cell_length_b 4.5589
_cell_length_c 4.5589
_cell_angle_alpha 90.00
_cell_angle_beta 90.00
_cell_angle_gamma 90.00
loop_
_atom_site_label
_atom_site_type_symbol
_atom_site_fract_x
_atom_site_fract_y
_atom_site_fract_z
Al1 Al 0.0000 0.0000 0.0000
Cr1 Cr 0.0000 0.2543 0.5000
Si1 Si 0.5000 0.5000 0.5000
```